# 1
This entry pairs a crystal structure of La4Tb2PmPr with its simulated PXRD pattern. Radiation: λ = 1.5418 Å (Cu Kα). Structure: a cell relaxed with PBE.
Peak positions follow from Bragg's law for the DFT cell and can differ from measured ones.

Principal peaks in the range 10 to 80 degrees two-theta, by intensity:
2θ/deg, d (Å), I (rel.), (hkl)
29.7, 3.010, 100, 1 1 1
34.5, 2.600, 67, 2 0 2
30.0, 2.977, 32, 0 0 4
58.9, 1.569, 29, 3 1 3
49.4, 1.846, 24, 0 2 0
49.8, 1.831, 24, 1 1 5
58.7, 1.574, 15, 4 0 0
59.3, 1.559, 14, 2 0 6
61.6, 1.505, 12, 2 2 2
72.7, 1.300, 5, 2 2 -6

Cell and atoms:
```
data_La4Tb2PmPr
_chemical_formula_sum 'La4 Tb2 Pm1 Pr1'
_cell_length_a 6.3907
_cell_length_b 3.6945
_cell_length_c 12.0996
_cell_angle_alpha 90.00
_cell_angle_beta 100.19
_cell_angle_gamma 90.00
_space_group_name_H-M_alt 'P 1 2/m 1'
_space_group_IT_number 10
loop_
_space_group_symop_operation_xyz
'x,y,z'
'-x,-y,-z'
'-x,y,-z'
'x,-y,z'
loop_
_atom_site_label
_atom_site_type_symbol
_atom_site_fract_x
_atom_site_fract_y
_atom_site_fract_z
_atom_site_occupancy
La1 La 0.2492 0.0000 0.2459 1
La2 La 0.2493 0.5000 0.7534 1
Tb1 Tb 0.0000 0.5000 0.0000 1
Tb2 Tb 0.5000 0.0000 0.0000 1
Pm1 Pm 0.0000 0.0000 0.5000 1
Pr1 Pr 0.5000 0.5000 0.5000 1
```

# 2
This entry pairs a crystal structure of TaZnTe with its simulated PXRD pattern. Radiation: λ = 1.5418 Å (Cu Kα). Structure: a cell relaxed with PBE.
Peak positions follow from Bragg's law for the DFT cell and can differ from measured ones.

Principal peaks in the range 10 to 80 degrees two-theta, by intensity:
2θ/deg, d (Å), I (rel.), (hkl)
39.3, 2.292, 100, 1 0 3
36.3, 2.475, 63, 1 1 0
67.3, 1.391, 40, 2 1 3
52.3, 1.750, 22, 2 0 0
73.2, 1.293, 16, 1 1 6
27.3, 3.267, 15, 1 0 1
19.5, 4.547, 11, 0 0 2
77.1, 1.238, 7, 2 2 0
61.1, 1.516, 7, 0 0 6
41.5, 2.174, 6, 1 1 2

Cell and atoms:
```
data_TaZnTe
_chemical_formula_sum 'Ta2 Zn2 Te2'
_cell_length_a 3.5007
_cell_length_b 3.5007
_cell_length_c 9.0950
_cell_angle_alpha 90.00
_cell_angle_beta 90.00
_cell_angle_gamma 90.00
_space_group_name_H-M_alt 'I 4 m m'
_space_group_IT_number 107
_space_group_name_Hall 'I 4 -2'
loop_
_atom_site_label
_atom_site_type_symbol
_atom_site_fract_x
_atom_site_fract_y
_atom_site_fract_z
_atom_site_occupancy
Ta1 Ta 0.0000 0.0000 0.0000 1
Zn1 Zn 0.0000 0.0000 0.3408 1
Te1 Te 0.0000 0.0000 0.6636 1
```

# 3
This entry pairs a crystal structure of Ac4CoSiI2 with its simulated PXRD pattern. Radiation: λ = 1.5418 Å (Cu Kα). Structure: a cell relaxed with PBE.
Peak positions follow from Bragg's law for the DFT cell and can differ from measured ones.

Principal peaks in the range 10 to 80 degrees two-theta, by intensity:
2θ/deg, d (Å), I (rel.), (hkl)
27.0, 3.301, 100, 1 1 1
39.8, 2.264, 27, 3 1 -1
29.5, 3.026, 23, 1 1 -2
31.9, 2.802, 18, 0 0 3
24.4, 3.648, 17, 1 1 -1
50.0, 1.824, 14, 2 2 -2
41.3, 2.187, 14, 0 2 0
37.2, 2.414, 13, 1 1 -3
28.1, 3.175, 11, 2 0 1
66.8, 1.401, 10, 1 3 1

Cell and atoms:
```
data_Ac4CoSiI2
_chemical_formula_sum 'Ac4 Co1 Si1 I2'
_cell_length_a 7.9420
_cell_length_b 4.3738
_cell_length_c 8.7288
_cell_angle_alpha 90.00
_cell_angle_beta 105.60
_cell_angle_gamma 90.00
_space_group_name_H-M_alt 'P 1 2/m 1'
_space_group_IT_number 10
loop_
_space_group_symop_operation_xyz
'x,y,z'
'-x,-y,-z'
'-x,y,-z'
'x,-y,z'
loop_
_atom_site_label
_atom_site_type_symbol
_atom_site_fract_x
_atom_site_fract_y
_atom_site_fract_z
_atom_site_occupancy
Ac1 Ac 0.2138 0.0000 0.1855 1
Ac2 Ac 0.2472 0.5000 0.8138 1
Co1 Co 0.0000 0.5000 0.0000 1
Si1 Si 0.5000 0.0000 0.0000 1
I1 I 0.0000 0.0000 0.5000 1
I2 I 0.5000 0.5000 0.5000 1
```